The following is a calculated X-ray powder pattern of Li7CoOF7. It was derived from a DFT-relaxed cell (PBE+U, Alexandria), using CuKα.
Neutral-atom scattering factors, no anomalous dispersion.

Cell and atoms:
```
data_Li7CoOF7
_symmetry_space_group_name_H-M 'P m m 2'
_symmetry_Int_Tables_number 25
_symmetry_space_group_name_Hall 'P 2 -2'
_cell_length_a 2.9287
_cell_length_b 8.3413
_cell_length_c 5.8518
_cell_angle_alpha 90.00
_cell_angle_beta 90.00
_cell_angle_gamma 90.00
loop_
_atom_site_label
_atom_site_type_symbol
_atom_site_fract_x
_atom_site_fract_y
_atom_site_fract_z
Li1 Li 0.0000 0.0000 0.0000
Li2 Li 0.0000 0.0000 0.4916
Li3 Li 0.0000 0.5000 0.4740
Li4 Li 0.5000 0.2379 0.7392
Li5 Li 0.5000 0.2535 0.2552
Co1 Co 0.0000 0.5000 0.0174
O1 O 0.5000 0.5000 0.2389
F1 F 0.0000 0.2393 0.9887
F2 F 0.0000 0.2448 0.5005
F3 F 0.5000 0.0000 0.2472
F4 F 0.5000 0.0000 0.7433
F5 F 0.5000 0.5000 0.7454
```

Main lines, low angle first (2θ = 5–70°):
hkl  2θ/deg  Rel. int.
0 1 0  10.61  69
0 0 1  15.14  40
0 1 1  18.52  53
0 4 0  43.39  51
1 0 2  43.73  100
1 4 2  63.31  53